No. 1
Structure and computed XRD peak list of Ba3UAgS6 (DFT lattice parameters and positions (PBE); copper Kα).

```
Ba3UAgS6
1.0
6.1636 3.5586 4.6811
-6.1636 3.5586 4.6811
0.0000 -7.1172 4.6811
Ba U Ag S
6 2 2 12
direct
0.1245 0.7500 0.3755 Ba
0.2500 0.6245 0.8755 Ba
0.3755 0.1245 0.7500 Ba
0.6245 0.8755 0.2500 Ba
0.7500 0.3755 0.1245 Ba
0.8755 0.2500 0.6245 Ba
0.0000 0.0000 0.0000 U
0.5000 0.5000 0.5000 U
0.2500 0.2500 0.2500 Ag
0.7500 0.7500 0.7500 Ag
0.0483 0.9166 0.7069 S
0.0834 0.2931 0.9517 S
0.2069 0.4166 0.5483 S
0.2931 0.9517 0.0834 S
0.4166 0.5483 0.2069 S
0.4517 0.7931 0.5834 S
0.5483 0.2069 0.4166 S
0.5834 0.4517 0.7931 S
0.7069 0.0483 0.9166 S
0.7931 0.5834 0.4517 S
0.9166 0.7069 0.0483 S
0.9517 0.0834 0.2931 S
```

Largest 10 diffraction maxima, low angle first, 5 to 70 degrees two-theta:
14.4°, rel. 33
15.1°, rel. 32
23.9°, rel. 46
25.0°, rel. 100
30.5°, rel. 38
30.9°, rel. 25
32.8°, rel. 23
33.8°, rel. 47
34.9°, rel. 41
45.1°, rel. 39

***

No. 2
Structure and computed XRD peak list of Te2MoWS2 (DFT lattice parameters and positions (PBE); copper Kα).

```
Te2MoWS2
1.0
3.3592 0.0000 0.0000
-1.6796 2.9092 0.0000
0.0000 0.0000 38.3450
Te Mo W S
4 2 2 4
direct
0.0000 0.0000 0.0000 Te
0.0000 0.0000 0.0986 Te
0.0000 0.0000 0.3755 Te
0.0000 0.0000 0.4747 Te
0.0000 0.0000 0.8615 Mo
0.3333 0.6667 0.0493 Mo
0.0000 0.0000 0.2372 W
0.3333 0.6667 0.4251 W
0.3333 0.6667 0.1976 S
0.3333 0.6667 0.2768 S
0.3333 0.6667 0.8220 S
0.3333 0.6667 0.9009 S
```

Largest 10 diffraction maxima, low angle first, 5 to 70 degrees two-theta:
6.9°, rel. 51
11.5°, rel. 100
13.9°, rel. 17
30.8°, rel. 57
36.1°, rel. 97
37.5°, rel. 21
43.7°, rel. 46
45.5°, rel. 15
54.7°, rel. 32
67.3°, rel. 16

***

No. 3
Structure and computed XRD peak list of HfTl (DFT lattice parameters and positions (PBE); copper Kα).

```
HfTl
1.0
3.2316 0.0000 0.0000
-1.6158 2.7986 0.0000
0.0000 0.0000 5.1934
Hf Tl
1 1
direct
0.0000 0.0000 0.0000 Hf
0.6667 0.3333 0.5000 Tl
```

Largest 10 diffraction maxima, low angle first, 5 to 70 degrees two-theta:
17.1°, rel. 1
32.0°, rel. 24
34.5°, rel. 26
36.5°, rel. 100
47.8°, rel. 16
57.0°, rel. 19
63.2°, rel. 21
66.9°, rel. 3
68.4°, rel. 22
69.6°, rel. 16

***

No. 4
Structure and computed XRD peak list of K2LaTa5O15 (DFT lattice parameters and positions (PBE); copper Kα).

```
K2LaTa5O15
1.0
12.7152 0.0000 0.0000
0.0000 12.7152 0.0000
0.0000 0.0000 3.9526
K La Ta O
4 2 10 30
direct
0.1710 0.3290 0.0000 K
0.3290 0.8290 0.0000 K
0.6710 0.1710 0.0000 K
0.8290 0.6710 0.0000 K
0.0000 0.0000 0.0000 La
0.5000 0.5000 0.0000 La
0.0000 0.5000 0.5000 Ta
0.0752 0.7854 0.5000 Ta
0.2146 0.0752 0.5000 Ta
0.2854 0.5752 0.5000 Ta
0.4248 0.2854 0.5000 Ta
0.5000 0.0000 0.5000 Ta
0.5752 0.7146 0.5000 Ta
0.7146 0.4248 0.5000 Ta
0.7854 0.9248 0.5000 Ta
0.9248 0.2146 0.5000 Ta
0.0000 0.5000 0.0000 O
0.0026 0.3429 0.5000 O
0.0626 0.1328 0.5000 O
0.0754 0.8035 0.0000 O
0.1328 0.9374 0.5000 O
0.1571 0.4974 0.5000 O
0.1965 0.0754 0.0000 O
0.2150 0.7150 0.5000 O
0.2850 0.2150 0.5000 O
0.3035 0.5754 0.0000 O
0.3429 0.9974 0.5000 O
0.3672 0.4374 0.5000 O
0.4246 0.3035 0.0000 O
0.4374 0.6328 0.5000 O
0.4974 0.8429 0.5000 O
0.5000 0.0000 0.0000 O
0.5026 0.1571 0.5000 O
0.5626 0.3672 0.5000 O
0.5754 0.6965 0.0000 O
0.6328 0.5626 0.5000 O
0.6571 0.0026 0.5000 O
0.6965 0.4246 0.0000 O
0.7150 0.7850 0.5000 O
0.7850 0.2850 0.5000 O
0.8035 0.9246 0.0000 O
0.8429 0.5026 0.5000 O
0.8672 0.0626 0.5000 O
0.9246 0.1965 0.0000 O
0.9374 0.8672 0.5000 O
0.9974 0.6571 0.5000 O
```

Largest 10 diffraction maxima, low angle first, 5 to 70 degrees two-theta:
15.6°, rel. 34
22.5°, rel. 70
25.3°, rel. 60
27.5°, rel. 41
29.0°, rel. 68
31.5°, rel. 55
31.7°, rel. 100
34.1°, rel. 40
45.9°, rel. 33
56.2°, rel. 59

***

No. 5
Structure and computed XRD peak list of Rb8SnO6 (DFT lattice parameters and positions (PBE); copper Kα).

```
Rb8SnO6
1.0
7.5494 0.0000 0.0000
-3.7747 6.5380 0.0000
0.0000 0.0000 15.7297
Rb Sn O
16 2 12
direct
0.0000 0.2826 0.0000 Rb
0.0000 0.3955 0.3480 Rb
0.0000 0.6045 0.8480 Rb
0.0000 0.7174 0.5000 Rb
0.2826 0.0000 0.0000 Rb
0.2826 0.2826 0.5000 Rb
0.3333 0.6667 0.1444 Rb
0.3333 0.6667 0.6444 Rb
0.3955 0.0000 0.3480 Rb
0.3955 0.3955 0.8480 Rb
0.6045 0.0000 0.8480 Rb
0.6045 0.6045 0.3480 Rb
0.6667 0.3333 0.1444 Rb
0.6667 0.3333 0.6444 Rb
0.7174 0.0000 0.5000 Rb
0.7174 0.7174 0.0000 Rb
0.0000 0.0000 0.2211 Sn
0.0000 0.0000 0.7211 Sn
0.0000 0.0000 0.3510 O
0.0000 0.0000 0.8510 O
0.0000 0.2528 0.1804 O
0.0000 0.7472 0.6804 O
0.2528 0.0000 0.1804 O
0.2528 0.2528 0.6804 O
0.3333 0.6667 0.4568 O
0.3333 0.6667 0.9568 O
0.6667 0.3333 0.4568 O
0.6667 0.3333 0.9568 O
0.7472 0.0000 0.6804 O
0.7472 0.7472 0.1804 O
```

Largest 10 diffraction maxima, low angle first, 5 to 70 degrees two-theta:
24.2°, rel. 52
26.2°, rel. 100
26.4°, rel. 51
29.2°, rel. 87
29.6°, rel. 54
32.9°, rel. 31
36.8°, rel. 31
37.2°, rel. 32
41.4°, rel. 64
50.7°, rel. 30